No. 1
For SrMnBr4, the GGA-PBE geometry in Alexandria gives the computed PXRD pattern in this record (a wavelength of 1.5418 Å).
Lines closer than 0.1° are merged.

Main lines, most intense first (10 to 80 degrees two-theta):
two_theta, Rel. int.
17.9, 100
28.8, 84
35.1, 83
27.0, 70
43.8, 68
31.7, 49
50.5, 47
22.4, 42
36.2, 40
34.1, 29

Cell and atoms:
```
12
Lattice="-4.968 4.968 4.416 4.968 -4.968 4.416 4.968 4.968 -4.416" Properties=species:S:1:pos:R:3 pbc="T T T"
Sr 4.968 2.484 1.104
Sr 0.000 2.484 3.312
Mn 4.968 -2.484 3.312
Mn 0.000 7.452 1.104
Br 4.968 -0.636 1.636
Br 4.968 4.332 -1.636
Br 1.848 2.484 0.572
Br 3.120 -2.484 4.987
Br 1.848 7.452 -0.572
Br 3.120 2.484 3.844
Br 0.000 0.636 6.051
Br 0.000 5.604 2.780
```



No. 2
For AsPd5Au, the GGA-PBE geometry in Alexandria gives the computed PXRD pattern in this record (a wavelength of 1.5418 Å).
Lines closer than 0.1° are merged.

Main lines, most intense first (10 to 80 degrees two-theta):
two_theta, Rel. int.
40.6, 100
44.9, 43
33.9, 33
79.9, 27
60.3, 15
38.0, 15
65.4, 14
70.7, 12
74.7, 12
22.0, 11

Cell and atoms:
```
7
Lattice="4.036 0.000 0.000 0.000 4.036 0.000 0.000 0.000 7.095" Properties=species:S:1:pos:R:3 pbc="T T T"
As 0.000 0.000 0.000
Pd 0.000 2.018 1.483
Pd 0.000 2.018 5.613
Pd 2.018 0.000 1.483
Pd 2.018 0.000 5.613
Pd 2.018 2.018 3.548
Au 0.000 0.000 3.548
```



No. 3
For K3ReF7, the GGA-PBE geometry in Alexandria gives the computed PXRD pattern in this record (a wavelength of 1.5418 Å).
Lines closer than 0.1° are merged.

Main lines, most intense first (10 to 80 degrees two-theta):
two_theta, Rel. int.
16.5, 100
26.5, 88
17.2, 69
16.0, 48
27.4, 44
21.0, 40
25.5, 37
43.3, 32
45.8, 29
29.9, 26

Cell and atoms:
```
11
Lattice="4.248 -4.223 0.000 4.248 4.223 0.000 -3.835 0.000 5.545" Properties=species:S:1:pos:R:3 pbc="T T T"
K 0.000 0.000 0.000
K 2.340 1.960 2.610
K 2.340 -1.960 2.610
Re 4.514 0.000 0.017
F 0.098 1.324 4.162
F 2.591 0.000 0.714
F 4.478 1.798 1.045
F 0.098 -1.324 4.162
F 2.382 0.000 4.362
F 4.478 -1.798 1.045
F 6.091 0.000 1.328
```



No. 4
For Ac4SbP3, the GGA-PBE geometry in Alexandria gives the computed PXRD pattern in this record (a wavelength of 1.5418 Å).
Lines closer than 0.1° are merged.

Main lines, most intense first (10 to 80 degrees two-theta):
two_theta, Rel. int.
27.8, 100
39.6, 97
24.1, 52
23.9, 51
27.7, 51
46.8, 36
64.8, 27
49.3, 21
49.0, 20
39.9, 20

Cell and atoms:
```
8
Lattice="4.520 0.000 0.000 0.000 6.440 0.000 0.000 0.000 9.107" Properties=species:S:1:pos:R:3 pbc="T T T"
Ac 0.000 0.000 0.000
Ac 0.000 0.000 4.553
Ac 2.260 3.220 2.126
Ac 2.260 3.220 6.981
Sb 0.000 3.220 4.553
P 0.000 3.220 0.000
P 2.260 0.000 2.241
P 2.260 0.000 6.865
```



No. 5
For Ba7Al13, the GGA-PBE geometry in Alexandria gives the computed PXRD pattern in this record (a wavelength of 1.5418 Å).
Lines closer than 0.1° are merged.

Main lines, most intense first (10 to 80 degrees two-theta):
two_theta, Rel. int.
31.0, 100
29.5, 97
17.7, 47
53.2, 40
36.2, 39
33.4, 36
34.6, 32
26.7, 25
35.8, 22
61.2, 21

Cell and atoms:
```
20
Lattice="6.061 0.000 0.000 -3.031 5.249 0.000 0.000 0.000 17.287" Properties=species:S:1:pos:R:3 pbc="T T T"
Ba 0.000 0.000 0.000
Ba 0.000 0.000 6.783
Ba 0.000 0.000 10.504
Ba 0.000 3.499 11.716
Ba 0.000 3.499 15.411
Ba 3.031 1.750 1.876
Ba 3.031 1.750 5.571
Al -1.515 2.625 8.643
Al 0.000 1.687 3.725
Al -1.569 4.405 3.725
Al 1.461 0.844 13.562
Al 0.000 3.499 1.694
Al 0.000 3.499 6.020
Al 3.031 0.000 8.643
Al 1.515 2.625 8.643
Al 3.031 1.750 11.267
Al 3.031 1.750 15.592
Al 1.569 4.405 3.725
Al 4.600 0.844 13.562
Al 3.031 3.562 13.562
```



No. 6
For Ru2SeBr4, the GGA-PBE geometry in Alexandria gives the computed PXRD pattern in this record (a wavelength of 1.5418 Å).
Lines closer than 0.1° are merged.

Main lines, most intense first (10 to 80 degrees two-theta):
two_theta, Rel. int.
10.9, 100
33.0, 96
23.2, 69
17.2, 56
42.3, 49
54.7, 48
21.9, 39
47.4, 34
39.9, 32
40.7, 29

Cell and atoms:
```
14
Lattice="5.429 0.000 0.000 0.000 5.429 0.000 0.000 0.000 16.259" Properties=species:S:1:pos:R:3 pbc="T T T"
Ru 0.000 0.000 1.068
Ru 0.000 0.000 15.192
Ru 2.715 2.715 7.062
Ru 2.715 2.715 9.197
Se 0.000 0.000 8.130
Se 2.715 2.715 0.000
Br 0.000 0.000 3.474
Br 0.000 0.000 12.785
Br 0.000 2.715 0.000
Br 0.000 2.715 8.130
Br 2.715 0.000 0.000
Br 2.715 0.000 8.130
Br 2.715 2.715 4.656
Br 2.715 2.715 11.604
```



No. 7
For Ba5Pb3, the GGA-PBE geometry in Alexandria gives the computed PXRD pattern in this record (a wavelength of 1.5418 Å).
Lines closer than 0.1° are merged.

Main lines, most intense first (10 to 80 degrees two-theta):
two_theta, Rel. int.
26.6, 100
30.9, 51
28.2, 47
33.6, 27
55.3, 27
17.0, 25
41.1, 20
52.3, 18
27.6, 17
35.8, 16

Cell and atoms:
```
16
Lattice="-4.569 4.569 8.788 4.569 -4.569 8.788 4.569 4.569 -8.788" Properties=species:S:1:pos:R:3 pbc="T T T"
Ba 0.000 0.000 0.000
Ba 6.182 1.613 -2.523
Ba 1.613 2.956 -2.523
Ba 6.182 1.613 2.523
Ba 1.613 2.956 2.523
Ba 0.000 0.000 8.788
Ba 2.956 1.613 6.265
Ba -1.613 2.956 6.265
Ba 2.956 1.613 11.311
Ba -1.613 2.956 11.311
Pb 3.472 1.097 0.000
Pb 0.000 0.000 4.394
Pb 3.472 -1.097 8.788
Pb 1.097 5.666 0.000
Pb 0.000 0.000 13.182
Pb 1.097 3.472 8.788
```



No. 8
For CsMg2CdPb4, the GGA-PBE geometry in Alexandria gives the computed PXRD pattern in this record (a wavelength of 1.5418 Å).
Lines closer than 0.1° are merged.

Main lines, most intense first (10 to 80 degrees two-theta):
two_theta, Rel. int.
33.6, 100
26.9, 54
35.5, 48
28.9, 41
19.9, 33
22.0, 30
53.7, 22
61.3, 20
60.1, 19
49.7, 19

Cell and atoms:
```
8
Lattice="2.667 1.540 11.098 -2.667 1.540 11.098 0.000 -3.079 11.098" Properties=species:S:1:pos:R:3 pbc="T T T"
Cs 0.000 0.000 0.000
Mg 0.000 0.000 7.727
Mg 0.000 0.000 25.568
Cd 0.000 0.000 16.648
Pb 0.000 0.000 4.365
Pb 0.000 0.000 13.662
Pb 0.000 0.000 19.634
Pb 0.000 0.000 28.930
```